Entry 1:
Nd2FeNiO6: calculated X-ray powder pattern (Cu Kα (λ = 1.5418 Å)), based on a PBE+U-relaxed structure.

Structural model:
```
data_Nd2FeNiO6
_space_group_name_H-M_alt 'P 1 21/c 1'
_space_group_IT_number 14
_cell_length_a 5.4406
_cell_length_b 5.6578
_cell_length_c 9.4681
_cell_angle_alpha 90.00
_cell_angle_beta 124.93
_cell_angle_gamma 90.00
loop_
_space_group_symop_operation_xyz
'x,y,z'
'-x,-y,-z'
'-x,y+1/2,-z+1/2'
'x,-y+1/2,z+1/2'
loop_
_atom_site_label
_atom_site_type_symbol
_atom_site_fract_x
_atom_site_fract_y
_atom_site_fract_z
Nd1 Nd 0.2363 0.0591 0.2495
Fe1 Fe 0.5000 0.0000 0.0000
Ni1 Ni 0.0000 0.0000 0.5000
O1 O 0.1631 0.1990 0.9556
O2 O 0.2542 0.7063 0.9546
O3 O 0.3375 0.0217 0.7522
```

The 6 most intense peaks (10 to 90 degrees two-theta), in order of rising 2θ:
| (hkl) | Position (°2θ) | d [Å] | I (rel.) |
| --- | --- | --- | --- |
| 1 1 0 | 25.4 | 3.500 | 15 |
| 0 2 0 | 31.6 | 2.829 | 20 |
| 1 1 -3 | 32.5 | 2.759 | 100 |
| 2 0 -2 | 32.9 | 2.720 | 25 |
| 2 2 -2 | 46.3 | 1.961 | 22 |
| 2 0 -6 | 58.5 | 1.579 | 17 |

---

Entry 2:
Mn2CrPb2O9: calculated X-ray powder pattern (Cu Kα (λ = 1.5418 Å)), based on a PBE+U-relaxed structure.

Structural model:
```
data_Mn2CrPb2O9
_space_group_name_H-M_alt 'P -1'
_space_group_IT_number 2
_cell_length_a 5.1010
_cell_length_b 7.7245
_cell_length_c 10.4903
_cell_angle_alpha 91.98
_cell_angle_beta 99.51
_cell_angle_gamma 109.23
loop_
_space_group_symop_operation_xyz
'x,y,z'
'-x,-y,-z'
loop_
_atom_site_label
_atom_site_type_symbol
_atom_site_fract_x
_atom_site_fract_y
_atom_site_fract_z
Mn1 Mn 0.1009 0.1959 0.0010
Mn2 Mn 0.3017 0.6041 0.0057
Cr1 Cr 0.3128 0.2344 0.4507
Pb1 Pb 0.0015 0.6103 0.3201
Pb2 Pb 0.3967 0.9622 0.7611
O1 O 0.0508 0.3247 0.4296
O2 O 0.0601 0.4103 0.0978
O3 O 0.0776 0.9866 0.8958
O4 O 0.1939 0.0154 0.3905
O5 O 0.2387 0.7854 0.1094
O6 O 0.3265 0.3867 0.9038
O7 O 0.4458 0.6522 0.6296
O8 O 0.4512 0.2617 0.6117
O9 O 0.4750 0.2331 0.0938
```

The 6 most intense peaks (10 to 90 degrees two-theta), in order of rising 2θ:
| (hkl) | Position (°2θ) | d [Å] | I (rel.) |
| --- | --- | --- | --- |
| 1 -1 0 | 18.6 | 4.775 | 49 |
| 1 -1 2 | 27.0 | 3.300 | 83 |
| 1 1 1 | 28.7 | 3.112 | 100 |
| 1 0 -3 | 29.1 | 3.065 | 52 |
| -1 2 2 | 30.1 | 2.968 | 41 |
| -2 1 1 | 35.3 | 2.543 | 42 |

---

Entry 3:
LiMnBO3: calculated X-ray powder pattern (Cu Kα (λ = 1.5418 Å)), based on a PBE+U-relaxed structure.

Structural model:
```
data_LiMnBO3
_space_group_name_H-M_alt 'P 1'
_space_group_IT_number 1
_cell_length_a 3.2442
_cell_length_b 14.4966
_cell_length_c 14.5013
_cell_angle_alpha 119.95
_cell_angle_beta 90.05
_cell_angle_gamma 90.05
loop_
_space_group_symop_operation_xyz
'x,y,z'
loop_
_atom_site_label
_atom_site_type_symbol
_atom_site_fract_x
_atom_site_fract_y
_atom_site_fract_z
Li1 Li 0.0000 0.0000 0.0000
Li2 Li 0.0010 0.3307 0.6805
Li3 Li 0.0035 0.9810 0.6275
Li4 Li 0.0082 0.3469 0.9917
Li5 Li 0.0358 0.3283 0.3138
Li6 Li 0.9433 0.6686 0.3334
Li7 Li 0.9814 0.0329 0.3312
Li8 Li 0.9905 0.6836 0.6614
Li9 Li 0.9982 0.6606 0.9777
Mn1 Mn 0.4358 0.5824 0.1294
Mn2 Mn 0.4728 0.8917 0.4121
Mn3 Mn 0.4831 0.8857 0.1012
Mn4 Mn 0.4866 0.8983 0.7754
Mn5 Mn 0.4974 0.2289 0.0774
Mn6 Mn 0.5057 0.2031 0.7684
Mn7 Mn 0.5100 0.5601 0.7621
Mn8 Mn 0.5208 0.2483 0.4575
Mn9 Mn 0.5424 0.5324 0.4318
B1 B 0.0267 0.4494 0.5589
B2 B 0.4887 0.7737 0.5354
B3 B 0.4912 0.4443 0.8871
B4 B 0.4917 0.7810 0.8796
B5 B 0.4941 0.4481 0.2130
B6 B 0.4974 0.1143 0.5459
B7 B 0.5014 0.1258 0.2160
B8 B 0.9651 0.7924 0.2113
B9 B 0.9933 0.1017 0.8680
O1 O 0.0041 0.1107 0.7764
O2 O 0.0104 0.5404 0.6586
O3 O 0.0209 0.3487 0.5496
O4 O 0.0483 0.4580 0.4685
O5 O 0.4023 0.5433 0.9756
O6 O 0.4189 0.1153 0.1167
O7 O 0.4212 0.8721 0.6252
O8 O 0.4272 0.5566 0.2577
O9 O 0.4546 0.7632 0.4344
O10 O 0.4792 0.1002 0.4438
O11 O 0.4801 0.8875 0.9591
O12 O 0.4807 0.3830 0.1039
O13 O 0.4957 0.7013 0.9065
O14 O 0.4998 0.7541 0.7730
O15 O 0.5053 0.2163 0.6336
O16 O 0.5078 0.0262 0.5600
O17 O 0.5209 0.3537 0.8973
O18 O 0.5279 0.2269 0.3067
O19 O 0.5466 0.4350 0.7876
O20 O 0.5545 0.0358 0.2255
O21 O 0.5750 0.4055 0.2780
O22 O 0.5949 0.6858 0.5457
O23 O 0.9340 0.6935 0.2029
O24 O 0.9748 0.8837 0.3119
O25 O 0.9842 0.0017 0.8593
O26 O 0.9863 0.8012 0.1203
O27 O 0.9920 0.1921 0.9665
```

The 6 most intense peaks (10 to 90 degrees two-theta), in order of rising 2θ:
| (hkl) | Position (°2θ) | d [Å] | I (rel.) |
| --- | --- | --- | --- |
| 0 3 0 | 21.2 | 4.187 | 100 |
| 1 0 0 | 27.5 | 3.244 | 52 |
| 1 0 -3 | 35.0 | 2.564 | 79 |
| 0 6 -3 | 37.2 | 2.417 | 46 |
| 0 6 0 | 43.2 | 2.093 | 39 |
| 1 6 0 | 52.0 | 1.759 | 39 |